No. 1
This entry pairs a crystal structure of Fe2P3Se with its simulated powder X-ray diffraction pattern. Radiation: CuKα. Structure: a GGA-PBE-relaxed structure.

Peak list (10 most intense, 15° ≤ 2θ ≤ 90°, sorted by position)
- 23.93 deg, I 44
- 31.47 deg, I 24
- 35.80 deg, I 100
- 36.35 deg, I 32
- 36.57 deg, I 30
- 39.21 deg, I 31
- 39.31 deg, I 24
- 48.31 deg, I 28
- 51.16 deg, I 40
- 58.07 deg, I 37

Crystal structure
Unit cell a=4.943 b=2.910 c=5.686 alpha=90.00 beta=90.38 gamma=90.00
Space group Pm (No. 6)
One atom of each set of equivalent atoms:
Fe (0.000, 0.000, 0.000) (multiplicity 1)
Fe (0.487, 0.500, 0.511) (multiplicity 1)
P (0.190, 0.000, 0.654) (multiplicity 1)
P (0.323, 0.500, 0.135) (multiplicity 1)
P (0.670, 0.500, 0.877) (multiplicity 1)
Se (0.824, 0.000, 0.378) (multiplicity 1)

No. 2
This entry pairs a crystal structure of NdSmB2Pt8 with its simulated powder X-ray diffraction pattern. Radiation: CuKα. Structure: a GGA-PBE-relaxed structure.

Peak list (10 most intense, 15° ≤ 2θ ≤ 90°, sorted by position)
- 18.67 deg, I 29
- 29.89 deg, I 36
- 34.71 deg, I 37
- 35.00 deg, I 43
- 37.86 deg, I 93
- 39.70 deg, I 31
- 40.38 deg, I 100
- 44.83 deg, I 51
- 68.37 deg, I 36
- 73.31 deg, I 32

Crystal structure
Unit cell a=5.4884 b=5.4884 c=7.6905 alpha=90.00 beta=90.00 gamma=120.00
Space group P6/mmm (No. 191)
One atom of each set of equivalent atoms:
Nd (0.0000, 0.0000, 0.0000) (multiplicity 1)
Sm (0.0000, 0.0000, 0.5000) (multiplicity 1)
B (0.3333, 0.6667, 0.0000) (multiplicity 2)
Pt (0.0000, 0.5000, 0.1990) (multiplicity 6)
Pt (0.3333, 0.6667, 0.5000) (multiplicity 2)

No. 3
This entry pairs a crystal structure of Zn2Re with its simulated powder X-ray diffraction pattern. Radiation: CuKα. Structure: a GGA-PBE-relaxed structure.

Peak list (10 most intense, 15° ≤ 2θ ≤ 90°, sorted by position)
- 18.35 deg, I 27
- 37.19 deg, I 17
- 38.60 deg, I 19
- 40.99 deg, I 39
- 42.66 deg, I 45
- 43.92 deg, I 100
- 67.99 deg, I 16
- 76.71 deg, I 19
- 82.55 deg, I 19
- 82.79 deg, I 12

Crystal structure
Unit cell a=4.404 b=7.989 c=4.835 alpha=90.00 beta=90.00 gamma=90.00
Space group Pmmn (No. 59, origin choice 2)
One atom of each set of equivalent atoms:
Zn (0.250, 0.079, 0.082) (multiplicity 4)
Zn (0.250, 0.250, 0.594) (multiplicity 2)
Zn (0.250, 0.750, 0.061) (multiplicity 2)
Re (0.250, 0.582, 0.571) (multiplicity 4)

No. 4
This entry pairs a crystal structure of Ga9Ir2 with its simulated powder X-ray diffraction pattern. Radiation: CuKα. Structure: a GGA-PBE-relaxed structure.

Peak list (10 most intense, 15° ≤ 2θ ≤ 90°, sorted by position)
- 19.47 deg, I 62
- 37.74 deg, I 61
- 38.37 deg, I 95
- 42.33 deg, I 81
- 43.09 deg, I 100
- 44.36 deg, I 72
- 44.49 deg, I 92
- 44.59 deg, I 78
- 44.96 deg, I 69
- 45.35 deg, I 96

Crystal structure
Unit cell a=6.456 b=6.460 c=8.893 alpha=90.00 beta=94.25 gamma=90.00
Space group P2_1/c (No. 14)
One atom of each set of equivalent atoms:
Ga (0.000, 0.000, 0.000) (multiplicity 2)
Ga (0.103, 0.219, 0.728) (multiplicity 4)
Ga (0.207, 0.598, 0.040) (multiplicity 4)
Ga (0.391, 0.201, 0.997) (multiplicity 4)
Ga (0.398, 0.515, 0.767) (multiplicity 4)
Ir (0.262, 0.625, 0.332) (multiplicity 4)

No. 5
This entry pairs a crystal structure of LiNiAgSe2S with its simulated powder X-ray diffraction pattern. Radiation: CuKα. Structure: a GGA-PBE-relaxed structure.

Peak list (10 most intense, 15° ≤ 2θ ≤ 90°, sorted by position)
- 15.28 deg, I 35
- 17.59 deg, I 50
- 26.66 deg, I 32
- 30.84 deg, I 29
- 33.44 deg, I 100
- 34.61 deg, I 35
- 35.21 deg, I 77
- 46.13 deg, I 30
- 49.01 deg, I 29
- 49.34 deg, I 64

Crystal structure
Unit cell a=3.717 b=11.598 c=10.196 alpha=90.00 beta=90.00 gamma=90.00
Space group Cmcm (No. 63)
One atom of each set of equivalent atoms:
Li (0.000, 0.186, 0.250) (multiplicity 4)
Ni (0.000, 0.500, 0.000) (multiplicity 4)
Ag (0.000, 0.116, 0.750) (multiplicity 4)
Se (0.000, 0.132, 0.503) (multiplicity 8)
S (0.000, 0.450, 0.750) (multiplicity 4)

No. 6
This entry pairs a crystal structure of YEr6Co2Te2 with its simulated powder X-ray diffraction pattern. Radiation: CuKα. Structure: a GGA-PBE-relaxed structure.

Peak list (10 most intense, 15° ≤ 2θ ≤ 90°, sorted by position)
- 25.20 deg, I 26
- 29.05 deg, I 34
- 30.71 deg, I 44
- 33.37 deg, I 85
- 34.29 deg, I 100
- 34.60 deg, I 25
- 34.87 deg, I 63
- 38.93 deg, I 21
- 47.70 deg, I 29
- 59.46 deg, I 33

Crystal structure
Unit cell a=3.813 b=15.554 c=9.416 alpha=90.00 beta=90.00 gamma=90.00
Space group Imm2 (No. 44)
One atom of each set of equivalent atoms:
Y (0.000, 0.000, 0.000) (multiplicity 2)
Er (0.000, 0.134, 0.418) (multiplicity 4)
Er (0.000, 0.314, 0.623) (multiplicity 4)
Er (0.000, 0.351, 0.270) (multiplicity 4)
Co (0.000, 0.238, 0.929) (multiplicity 4)
Te (0.000, 0.000, 0.664) (multiplicity 2)
Te (0.000, 0.500, 0.766) (multiplicity 2)

No. 7
This entry pairs a crystal structure of HgO with its simulated powder X-ray diffraction pattern. Radiation: CuKα. Structure: a GGA-PBE-relaxed structure.

Peak list (10 most intense, 15° ≤ 2θ ≤ 90°, sorted by position)
- 29.48 deg, I 22
- 30.13 deg, I 100
- 37.40 deg, I 24
- 48.32 deg, I 32
- 52.70 deg, I 22
- 53.92 deg, I 12
- 62.65 deg, I 11
- 63.02 deg, I 25
- 73.94 deg, I 7
- 78.76 deg, I 14

Crystal structure
Unit cell a=3.401 b=3.401 c=6.061 alpha=90.00 beta=90.00 gamma=90.00
Space group P4_2/mmc (No. 131)
One atom of each set of equivalent atoms:
Hg (0.000, 0.500, 0.000) (multiplicity 2)
O (0.000, 0.000, 0.250) (multiplicity 2)

No. 8
This entry pairs a crystal structure of PrZrSi2 with its simulated powder X-ray diffraction pattern. Radiation: CuKα. Structure: a GGA-PBE-relaxed structure.

Peak list (10 most intense, 15° ≤ 2θ ≤ 90°, sorted by position)
- 27.88 deg, I 36
- 28.20 deg, I 40
- 30.48 deg, I 100
- 32.69 deg, I 77
- 34.12 deg, I 83
- 36.54 deg, I 54
- 38.14 deg, I 47
- 41.64 deg, I 44
- 53.74 deg, I 31
- 59.61 deg, I 32

Crystal structure
Unit cell a=3.843 b=7.812 c=5.580 alpha=90.00 beta=90.00 gamma=90.00
Space group Pmn2_1 (No. 31)
One atom of each set of equivalent atoms:
Pr (0.000, 0.073, 0.000) (multiplicity 2)
Zr (0.000, 0.564, 0.260) (multiplicity 2)
Si (0.000, 0.237, 0.512) (multiplicity 2)
Si (0.000, 0.689, 0.745) (multiplicity 2)

No. 9
This entry pairs a crystal structure of Tb2GdSn3Pb4 with its simulated powder X-ray diffraction pattern. Radiation: CuKα. Structure: a GGA-PBE-relaxed structure.

Peak list (10 most intense, 15° ≤ 2θ ≤ 90°, sorted by position)
- 32.28 deg, I 100
- 34.68 deg, I 19
- 38.49 deg, I 16
- 39.02 deg, I 16
- 52.77 deg, I 12
- 53.18 deg, I 11
- 60.64 deg, I 14
- 65.74 deg, I 13
- 66.47 deg, I 13
- 67.55 deg, I 11

Crystal structure
Unit cell a=4.616 b=25.868 c=4.678 alpha=90.00 beta=90.00 gamma=90.00
Space group Cmmm (No. 65)
One atom of each set of equivalent atoms:
Tb (0.000, 0.191, 0.000) (multiplicity 4)
Gd (0.000, 0.000, 0.000) (multiplicity 2)
Sn (0.000, 0.291, 0.500) (multiplicity 4)
Sn (0.000, 0.500, 0.500) (multiplicity 2)
Pb (0.000, 0.099, 0.500) (multiplicity 4)
Pb (0.000, 0.403, 0.000) (multiplicity 4)

No. 10
This entry pairs a crystal structure of Er2Fe2SiGeC with its simulated powder X-ray diffraction pattern. Radiation: CuKα. Structure: a GGA-PBE-relaxed structure.

Peak list (10 most intense, 15° ≤ 2θ ≤ 90°, sorted by position)
- 25.15 deg, I 55
- 34.23 deg, I 35
- 34.38 deg, I 100
- 35.51 deg, I 39
- 36.83 deg, I 100
- 36.97 deg, I 38
- 40.15 deg, I 44
- 41.94 deg, I 30
- 46.28 deg, I 40
- 51.95 deg, I 25

Crystal structure
Unit cell a=10.565 b=3.923 c=6.713 alpha=90.00 beta=128.94 gamma=90.00
Space group Cm (No. 8)
One atom of each set of equivalent atoms:
Er (0.000, 0.000, 0.000) (multiplicity 2)
Er (0.117, 0.000, 0.582) (multiplicity 2)
Fe (0.254, 0.500, 0.377) (multiplicity 2)
Fe (0.355, 0.000, 0.189) (multiplicity 2)
Si (0.223, 0.500, 0.006) (multiplicity 2)
Ge (0.400, 0.000, 0.586) (multiplicity 2)
C (0.056, 0.500, 0.288) (multiplicity 2)

No. 11
This entry pairs a crystal structure of CdHgCl4 with its simulated powder X-ray diffraction pattern. Radiation: CuKα. Structure: a GGA-PBE-relaxed structure.

Peak list (10 most intense, 15° ≤ 2θ ≤ 90°, sorted by position)
- 15.81 deg, I 54
- 23.18 deg, I 100
- 27.01 deg, I 20
- 32.48 deg, I 43
- 34.95 deg, I 39
- 44.35 deg, I 19
- 45.08 deg, I 36
- 46.19 deg, I 16
- 50.63 deg, I 25
- 56.04 deg, I 18

Crystal structure
Unit cell a=4.085 b=4.085 c=11.208 alpha=90.00 beta=90.00 gamma=90.00
Space group P-4m2 (No. 115)
One atom of each set of equivalent atoms:
Cd (0.000, 0.000, 0.000) (multiplicity 1)
Hg (0.500, 0.500, 0.500) (multiplicity 1)
Cl (0.000, 0.500, 0.130) (multiplicity 2)
Cl (0.000, 0.500, 0.636) (multiplicity 2)